Entry 1:
Simulated X-ray powder pattern of Zr3NiF6 for Cu Kα X-rays, from DFT lattice parameters and positions (PBE+U).
Neutral-atom scattering factors, no anomalous dispersion.

Largest 10 diffraction maxima, by angle, 2θ from 10° to 90°:
d [Å]  Rel. int.  index
6.178  31  0 1 -1
5.499  24  0 1 1
5.410  100  0 0 2
5.380  21  1 -1 0
3.608  21  0 0 3
3.442  16  0 2 0
3.090  11  0 2 -2
2.871  11  -2 1 1
2.707  14  0 0 4
2.694  22  2 0 0

Cell and atoms:
```
10
Lattice="5.8656 0.0000 0.0000 -2.8525 6.9409 0.0000 -0.6886 -1.3984 10.8278" Properties=species:S:1:pos:R:3 pbc="T T T"
Zr 0.0000 0.0000 0.0000
Zr -1.7705 2.7712 5.4139
Zr 2.9328 0.0000 0.0000
Ni -1.4262 3.4704 0.0000
F -1.5544 2.7851 7.3628
F -0.8057 0.5639 10.3710
F -0.6449 3.5263 10.7907
F 2.9695 2.0162 0.0371
F 3.1302 4.9786 0.4567
F 3.8790 2.7573 3.4649
```

=====

Entry 2:
Simulated X-ray powder pattern of Dy2MgMn4O8 for Cu Kα X-rays, from DFT lattice parameters and positions (PBE+U).
Neutral-atom scattering factors, no anomalous dispersion.

Largest 10 diffraction maxima, by angle, 2θ from 10° to 90°:
d [Å]  Rel. int.  index
3.488  57  1 1 0
3.467  98  -1 1 1
3.453  42  1 1 2
3.213  43  0 1 -1
3.192  68  1 0 2
3.127  76  2 0 1
2.718  69  1 2 1
2.709  100  2 -1 1
1.861  35  3 -1 2
1.713  46  1 1 4

Cell and atoms:
```
15
Lattice="6.2537 0.0000 0.0000 0.0087 6.2558 0.0000 3.0890 3.0886 5.5920" Properties=species:S:1:pos:R:3 pbc="T T T"
Dy 0.0000 0.0000 0.0000
Dy 2.9616 6.3804 2.7945
Mg 6.3062 3.0428 2.7946
Mn 1.3934 3.1628 0.6945
Mn 6.1853 7.9428 4.8866
Mn 6.1750 4.8599 4.5830
Mn 4.4762 3.1690 1.0166
O 2.9413 4.7098 1.3484
O 2.9313 1.7096 1.2009
O 4.6347 6.3972 4.2359
O 4.8257 3.1942 4.1745
O 7.6336 6.4029 4.3915
O 7.6114 3.2006 4.2784
O 6.1473 4.5180 1.4122
O 6.1369 1.7326 1.3150
```

=====

Entry 3:
Simulated X-ray powder pattern of Mn6O5F7 for Cu Kα X-rays, from DFT lattice parameters and positions (PBE+U).
Neutral-atom scattering factors, no anomalous dispersion.

Largest 10 diffraction maxima, by angle, 2θ from 10° to 90°:
d [Å]  Rel. int.  index
4.545  50  0 1 -2
4.476  41  0 1 2
3.078  89  1 1 -3
3.050  100  -1 1 3
2.950  68  1 -1 3
2.917  64  1 1 3
2.186  36  1 2 3
1.810  37  2 0 -6
1.704  30  2 0 6
1.466  28  -3 2 1

Cell and atoms:
```
36
Lattice="5.1129 0.0000 0.0000 -0.0117 5.7615 0.0000 -0.8706 -0.2286 14.4974" Properties=species:S:1:pos:R:3 pbc="T T T"
Mn 0.0000 0.0000 0.0000
Mn -0.2676 1.3597 4.8741
Mn -0.6867 3.1214 12.1762
Mn -0.2703 3.8462 7.2088
Mn 1.6470 3.8849 9.6239
Mn 2.2025 0.2779 2.3251
Mn 1.7338 1.1440 12.1859
Mn 2.2489 3.0134 4.9570
Mn 2.6959 3.8481 0.0984
Mn 2.2974 5.6116 7.2196
Mn 4.3609 -0.0295 9.7045
Mn 4.8189 3.8532 2.4665
O 0.1190 4.3254 10.7352
O 0.6416 2.7361 3.8713
O 0.6365 5.1696 8.4430
O 1.2168 4.3726 1.3378
O 0.8957 2.6687 13.1898
O 1.3969 4.2121 6.1861
O 3.1868 4.2936 8.3288
O 3.7695 5.1473 1.2930
O 3.4043 4.1669 13.4510
O 3.9256 2.7064 5.9345
F 0.0471 1.4600 11.0064
F 0.5122 0.0089 3.6612
F 0.8557 1.3144 1.1209
F 0.6485 2.5083 8.4834
F 0.7817 5.4913 13.4079
F 1.4690 1.2520 6.1244
F 3.0078 1.4401 3.8476
F 2.6754 -0.0939 10.8193
F 2.7093 2.8182 10.9659
F 3.2185 4.2556 3.6214
F 3.5294 2.4681 1.4182
F 3.2732 1.0882 8.4377
F 3.4595 1.3268 13.2195
F 4.0482 -0.0842 6.0105
```

=====

Which formula does entry 2 have? Dy2MgMn4O8